No. 1
Diffraction record for BaAlFe4O7. The powder XRD pattern is simulated, not measured: it uses a DFT-relaxed cell (PBE+U, the Materials Project) and Cu Kα X-rays.
Peak positions follow from Bragg's law for the DFT cell and can differ from measured ones.

Most intense lines, 10 to 80 degrees two-theta, sorted by position:
hkl 1 0 1, 19.0 deg, I = 36.7
hkl 1 1 0, 29.6 deg, I = 33.3
hkl 1 0 3, 31.1 deg, I = 84.1
hkl 1 1 2, 34.4 deg, I = 87.1
hkl 0 0 4, 34.7 deg, I = 25.1
hkl 2 0 1, 35.4 deg, I = 100.0
hkl 2 0 2, 38.6 deg, I = 19.9
hkl 2 1 3, 53.5 deg, I = 17.5
hkl 3 0 2, 55.7 deg, I = 24.7
hkl 2 0 5, 56.8 deg, I = 39.7
hkl 2 1 4, 58.8 deg, I = 17.8
hkl 2 2 0, 61.5 deg, I = 31.7

Atomic structure:
Unit cell a=6.0316 b=6.0316 c=10.3482 alpha=90.00 beta=90.00 gamma=120.00
Space group P6_3mc (No. 186)
Asymmetric unit:
Ba1 0.3333 0.6667 0.0000 x2
Al1 0.3333 0.6667 0.3821 x2
Fe1 0.0000 0.0000 0.4299 x2
Fe2 0.1902 0.3805 0.6890 x6
O1 0.0000 0.0000 0.2463 x2
O2 0.0230 0.5115 0.2859 x6
O3 0.1735 0.3471 0.4969 x6

---

No. 2
Diffraction record for Ba2AlFe3O7. The powder XRD pattern is simulated, not measured: it uses a DFT-relaxed cell (PBE+U, the Materials Project) and Cu Kα X-rays.
Peak positions follow from Bragg's law for the DFT cell and can differ from measured ones.

Most intense lines, 10 to 80 degrees two-theta, sorted by position:
hkl 0 1 -2, 26.3 deg, I = 50.7
hkl 1 0 -2, 29.2 deg, I = 34.2
hkl 0 1 3, 29.7 deg, I = 95.1
hkl 1 1 0, 29.9 deg, I = 100.0
hkl 1 -1 0, 30.8 deg, I = 99.0
hkl 0 1 -3, 32.7 deg, I = 43.7
hkl 1 0 3, 34.0 deg, I = 63.0
hkl 1 0 -3, 34.9 deg, I = 48.9
hkl 0 2 1, 38.2 deg, I = 71.6
hkl 0 0 5, 41.8 deg, I = 30.8
hkl 2 0 0, 48.3 deg, I = 37.4
hkl 1 2 3, 49.3 deg, I = 24.0

Atomic structure:
Unit cell a=3.770 b=4.748 c=10.867 alpha=84.28 beta=88.38 gamma=88.08
Space group P1 (No. 1)
Asymmetric unit:
Ba1 0.000 0.000 0.000 x1
Ba2 0.027 0.101 0.636 x1
Al1 0.161 0.045 0.311 x1
Fe1 0.505 0.462 0.180 x1
Fe2 0.516 0.577 0.818 x1
Fe3 0.545 0.619 0.455 x1
O1 0.000 0.309 0.192 x1
O2 0.019 0.804 0.435 x1
O3 0.439 0.847 0.207 x1
O4 0.468 0.275 0.369 x1
O5 0.512 0.994 0.817 x1
O6 0.516 0.471 0.998 x1
O7 0.520 0.537 0.644 x1

---

No. 3
Diffraction record for Ba2AlFe3O7. The powder XRD pattern is simulated, not measured: it uses a DFT-relaxed cell (PBE+U, the Materials Project) and Cu Kα X-rays.
Peak positions follow from Bragg's law for the DFT cell and can differ from measured ones.

Most intense lines, 10 to 80 degrees two-theta, sorted by position:
hkl 0 1 -2, 26.2 deg, I = 33.5
hkl 1 0 -2, 29.7 deg, I = 35.0
hkl 0 1 3, 30.6 deg, I = 85.4
hkl 1 1 0, 31.1 deg, I = 100.0
hkl 1 -1 0, 31.8 deg, I = 85.5
hkl 0 1 -3, 32.2 deg, I = 52.6
hkl 1 0 3, 33.7 deg, I = 78.3
hkl 1 0 -3, 35.2 deg, I = 48.4
hkl 0 2 0, 40.2 deg, I = 53.0
hkl 0 0 5, 40.8 deg, I = 41.0
hkl 2 0 0, 49.5 deg, I = 50.4
hkl -1 2 3, 53.9 deg, I = 35.0

Atomic structure:
Unit cell a=3.682 b=4.493 c=11.075 alpha=87.03 beta=87.53 gamma=88.65
Space group P1 (No. 1)
Asymmetric unit:
Ba1 0.000 0.000 0.000 x1
Ba2 0.029 0.043 0.633 x1
Al1 0.021 0.023 0.318 x1
Fe1 0.474 0.482 0.182 x1
Fe2 0.514 0.522 0.817 x1
Fe3 0.559 0.562 0.449 x1
O1 0.055 0.704 0.424 x1
O2 0.411 0.896 0.212 x1
O3 0.511 0.547 0.640 x1
O4 0.515 0.021 0.818 x1
O5 0.515 0.495 0.998 x1
O6 0.611 0.143 0.417 x1
O7 0.976 0.340 0.210 x1

---

No. 4
Diffraction record for Ba2AlTlFe2O7. The powder XRD pattern is simulated, not measured: it uses a DFT-relaxed cell (PBE+U, the Materials Project) and Cu Kα X-rays.
Peak positions follow from Bragg's law for the DFT cell and can differ from measured ones.

Most intense lines, 10 to 80 degrees two-theta, sorted by position:
hkl 1 0 2, 26.9 deg, I = 100.0
hkl 1 0 3, 31.0 deg, I = 97.9
hkl 1 1 0, 32.8 deg, I = 75.9
hkl 1 1 1, 33.6 deg, I = 24.7
hkl 0 0 5, 34.5 deg, I = 38.8
hkl 1 1 4, 43.3 deg, I = 14.9
hkl 2 0 0, 47.1 deg, I = 39.7
hkl 1 1 5, 48.4 deg, I = 37.6
hkl 1 0 7, 54.9 deg, I = 18.1
hkl 2 1 2, 55.1 deg, I = 28.8
hkl 2 1 3, 57.5 deg, I = 35.2
hkl 2 0 5, 59.7 deg, I = 29.4

Atomic structure:
Unit cell a=3.858 b=3.858 c=12.991 alpha=90.00 beta=90.00 gamma=90.00
Space group P4/mmm (No. 123)
Asymmetric unit:
Ba1 0.000 0.000 0.205 x2
Al1 0.000 0.000 0.500 x1
Tl1 0.500 0.500 0.000 x1
Fe1 0.500 0.500 0.385 x2
O1 0.000 0.000 0.000 x1
O2 0.000 0.500 0.403 x4
O3 0.500 0.500 0.169 x2

---

No. 5
Diffraction record for Ba2AlTlFe2O7. The powder XRD pattern is simulated, not measured: it uses a DFT-relaxed cell (PBE+U, the Materials Project) and Cu Kα X-rays.
Peak positions follow from Bragg's law for the DFT cell and can differ from measured ones.

Most intense lines, 10 to 80 degrees two-theta, sorted by position:
hkl 0 1 2, 25.2 deg, I = 34.5
hkl 0 1 -2, 27.7 deg, I = 89.1
hkl 1 0 -2, 27.9 deg, I = 86.9
hkl 0 1 3, 29.8 deg, I = 97.9
hkl 1 0 3, 30.1 deg, I = 93.4
hkl 1 1 1, 30.5 deg, I = 56.4
hkl 1 1 0, 30.7 deg, I = 79.3
hkl 1 -1 0, 31.9 deg, I = 100.0
hkl 0 0 5, 37.8 deg, I = 67.8
hkl 0 2 1, 44.3 deg, I = 50.6
hkl 2 0 0, 45.1 deg, I = 57.9
hkl -1 1 5, 50.2 deg, I = 35.1

Atomic structure:
Unit cell a=4.037 b=4.103 c=12.028 alpha=84.21 beta=84.44 gamma=87.30
Space group P1 (No. 1)
Asymmetric unit:
Ba1 0.000 0.000 0.000 x1
Ba2 0.128 0.134 0.568 x1
Al1 0.064 0.066 0.284 x1
Tl1 0.569 0.630 0.783 x1
Fe1 0.483 0.480 0.162 x1
Fe2 0.647 0.650 0.409 x1
O1 0.051 0.924 0.782 x1
O2 0.161 0.721 0.390 x1
O3 0.417 0.961 0.180 x1
O4 0.516 0.497 0.964 x1
O5 0.602 0.592 0.601 x1
O6 0.711 0.170 0.388 x1
O7 0.968 0.414 0.180 x1

---

No. 6
Diffraction record for BaMn4AlO7. The powder XRD pattern is simulated, not measured: it uses a DFT-relaxed cell (PBE+U, the Materials Project) and Cu Kα X-rays.
Peak positions follow from Bragg's law for the DFT cell and can differ from measured ones.

Most intense lines, 10 to 80 degrees two-theta, sorted by position:
hkl 1 0 1, 18.5 deg, I = 22.8
hkl 1 1 0, 28.3 deg, I = 29.3
hkl 1 0 3, 31.3 deg, I = 61.7
hkl 1 1 2, 33.6 deg, I = 72.5
hkl 2 0 1, 34.0 deg, I = 100.0
hkl 0 0 4, 35.8 deg, I = 20.7
hkl 1 0 4, 39.5 deg, I = 13.8
hkl 2 1 3, 52.0 deg, I = 26.1
hkl 3 0 2, 53.5 deg, I = 19.5
hkl 2 0 5, 56.9 deg, I = 28.9
hkl 2 1 4, 57.8 deg, I = 14.6
hkl 2 2 0, 58.5 deg, I = 33.2

Atomic structure:
Unit cell a=6.3085 b=6.3085 c=10.0403 alpha=90.00 beta=90.00 gamma=120.00
Space group P6_3mc (No. 186)
Asymmetric unit:
Ba1 0.3333 0.6667 0.0000 x2
Mn1 0.0000 0.0000 0.4253 x2
Mn2 0.1778 0.3556 0.6746 x6
Al1 0.3333 0.6667 0.3645 x2
O1 0.0000 0.0000 0.2128 x2
O2 0.0403 0.5202 0.2405 x6
O3 0.1842 0.3684 0.4712 x6

---

No. 7
Diffraction record for Ba2Mn3AlO7. The powder XRD pattern is simulated, not measured: it uses a DFT-relaxed cell (PBE+U, the Materials Project) and Cu Kα X-rays.
Peak positions follow from Bragg's law for the DFT cell and can differ from measured ones.

Most intense lines, 10 to 80 degrees two-theta, sorted by position:
hkl 1 0 2, 27.9 deg, I = 27.0
hkl 0 1 3, 32.0 deg, I = 90.2
hkl 1 1 0, 32.4 deg, I = 97.9
hkl 1 0 3, 32.8 deg, I = 100.0
hkl 1 1 2, 35.9 deg, I = 25.6
hkl 0 0 5, 38.4 deg, I = 25.9
hkl 1 1 3, 40.0 deg, I = 24.8
hkl 0 2 0, 45.3 deg, I = 36.0
hkl 2 0 0, 47.6 deg, I = 30.8
hkl 1 2 3, 57.0 deg, I = 39.3
hkl 1 1 6, 57.8 deg, I = 37.3
hkl 2 1 3, 58.5 deg, I = 31.8

Atomic structure:
Unit cell a=3.821 b=4.005 c=11.716 alpha=90.00 beta=90.00 gamma=90.00
Space group Pmmm (No. 47)
Asymmetric unit:
Ba1 0.000 0.000 0.183 x2
Mn1 0.500 0.500 0.000 x1
Mn2 0.500 0.500 0.355 x2
Al1 0.000 0.000 0.500 x1
O1 0.000 0.500 0.393 x2
O2 0.500 0.000 0.000 x1
O3 0.500 0.000 0.393 x2
O4 0.500 0.500 0.171 x2

---

No. 8
Diffraction record for BaSrMn2Al9PbO20. The powder XRD pattern is simulated, not measured: it uses a DFT-relaxed cell (PBE+U, the Materials Project) and Cu Kα X-rays.
Peak positions follow from Bragg's law for the DFT cell and can differ from measured ones.

Most intense lines, 10 to 80 degrees two-theta, sorted by position:
hkl 0 1 -1, 15.4 deg, I = 71.8
hkl 1 0 1, 19.2 deg, I = 61.4
hkl 0 1 3, 28.5 deg, I = 50.4
hkl 0 3 1, 28.6 deg, I = 48.6
hkl 1 -1 2, 29.3 deg, I = 69.2
hkl 1 0 -2, 29.5 deg, I = 43.5
hkl 1 1 3, 29.7 deg, I = 100.0
hkl -1 1 2, 30.8 deg, I = 71.3
hkl 1 2 3, 31.0 deg, I = 57.0
hkl 1 3 0, 31.7 deg, I = 43.5
hkl 2 1 1, 35.7 deg, I = 45.0
hkl 0 3 4, 43.3 deg, I = 40.4

Atomic structure:
Unit cell a=5.032 b=9.716 c=9.743 alpha=72.62 beta=75.46 gamma=75.20
Space group P1 (No. 1)
Asymmetric unit:
Ba1 0.000 0.000 0.000 x1
Sr1 0.261 0.720 0.726 x1
Mn1 0.006 0.502 0.495 x1
Mn2 0.503 0.362 0.635 x1
Al1 0.104 0.574 0.152 x1
Al2 0.117 0.143 0.576 x1
Al3 0.364 0.283 0.016 x1
Al4 0.376 0.005 0.288 x1
Al5 0.506 0.636 0.361 x1
Al6 0.635 0.708 0.991 x1
Al7 0.646 0.981 0.713 x1
Al8 0.891 0.422 0.852 x1
Al9 0.905 0.843 0.425 x1
Pb1 0.780 0.274 0.278 x1
O1 0.141 0.397 0.127 x1
O2 0.151 0.117 0.401 x1
O3 0.246 0.307 0.551 x1
O4 0.250 0.334 0.844 x1
O5 0.250 0.554 0.308 x1
O6 0.268 0.571 0.558 x1
O7 0.272 0.829 0.338 x1
O8 0.283 0.696 0.006 x1
O9 0.295 0.998 0.700 x1
O10 0.332 0.100 0.108 x1
O11 0.677 0.890 0.895 x1
O12 0.715 0.294 0.990 x1
O13 0.729 0.982 0.297 x1
O14 0.737 0.663 0.167 x1
O15 0.753 0.441 0.419 x1
O16 0.755 0.156 0.663 x1
O17 0.756 0.688 0.447 x1
O18 0.758 0.450 0.687 x1
O19 0.851 0.597 0.878 x1
O20 0.862 0.870 0.600 x1